# 1
Starting from DFT lattice parameters and positions (GGA+U), the powder XRD pattern of Li4MnCo2O7 was simulated for Cu Kα, 1.54184 Å.
Neutral-atom scattering factors, no anomalous dispersion.

Structure:
```
Li4MnCo2O7
1.0
4.864 -1.428 0.000
4.864 1.428 0.000
-1.776 0.000 17.188
Li Mn Co O
8 2 4 14
direct
0.000 0.000 0.000 Li
0.000 0.000 0.499 Li
0.137 0.137 0.287 Li
0.296 0.296 0.563 Li
0.427 0.427 0.857 Li
0.568 0.568 0.147 Li
0.703 0.703 0.434 Li
0.858 0.858 0.703 Li
0.143 0.143 0.784 Mn
0.284 0.284 0.071 Mn
0.419 0.419 0.358 Co
0.575 0.575 0.638 Co
0.715 0.715 0.928 Co
0.853 0.853 0.214 Co
0.044 0.044 0.385 O
0.087 0.087 0.891 O
0.202 0.202 0.682 O
0.225 0.225 0.178 O
0.340 0.340 0.963 O
0.352 0.352 0.450 O
0.478 0.478 0.250 O
0.511 0.511 0.749 O
0.646 0.646 0.544 O
0.653 0.653 0.031 O
0.776 0.776 0.824 O
0.796 0.796 0.317 O
0.914 0.914 0.109 O
0.950 0.950 0.608 O
```

Main lines, by angle (10° ≤ 2θ ≤ 80°):
- 18.53 deg, I = 100
- 36.60 deg, I = 12
- 36.78 deg, I = 26
- 44.34 deg, I = 78
- 64.14 deg, I = 13
- 64.88 deg, I = 14


# 2
Starting from DFT lattice parameters and positions (GGA+U), the powder XRD pattern of Li7Mn2Co3O12 was simulated for Cu Kα, 1.54184 Å.
Neutral-atom scattering factors, no anomalous dispersion.

Structure:
```
Li7Mn2Co3O12
1.0
5.040 0.000 0.000
0.858 5.094 0.000
0.625 2.351 8.352
Li Mn Co O
7 2 3 12
direct
0.000 0.000 0.000 Li
0.238 0.755 0.760 Li
0.241 0.425 0.073 Li
0.258 0.083 0.415 Li
0.742 0.917 0.585 Li
0.759 0.575 0.927 Li
0.762 0.245 0.240 Li
0.001 0.329 0.671 Mn
0.999 0.671 0.329 Mn
0.492 0.834 0.158 Co
0.500 0.500 0.500 Co
0.508 0.166 0.842 Co
0.120 0.377 0.859 O
0.128 0.001 0.224 O
0.130 0.675 0.539 O
0.354 0.139 0.635 O
0.361 0.474 0.306 O
0.397 0.796 0.964 O
0.603 0.204 0.036 O
0.639 0.526 0.694 O
0.646 0.861 0.365 O
0.870 0.325 0.461 O
0.872 0.999 0.776 O
0.880 0.623 0.141 O
```

Main lines, by angle (10° ≤ 2θ ≤ 80°):
- 18.33 deg, I = 100
- 35.45 deg, I = 14
- 42.79 deg, I = 31
- 43.63 deg, I = 29
- 44.46 deg, I = 26
- 63.35 deg, I = 15


# 3
Starting from DFT lattice parameters and positions (GGA+U), the powder XRD pattern of Li7Mn4CoO12 was simulated for Cu Kα, 1.54184 Å.
Neutral-atom scattering factors, no anomalous dispersion.

Structure:
```
Li7Mn4CoO12
1.0
5.011 0.000 0.000
-0.877 5.006 0.000
-0.128 -2.438 8.376
Li Mn Co O
7 4 1 12
direct
0.000 0.000 0.000 Li
0.002 0.984 0.654 Li
0.514 0.006 0.168 Li
0.517 0.999 0.829 Li
0.529 0.993 0.489 Li
0.761 0.493 0.411 Li
0.995 0.005 0.331 Li
0.257 0.491 0.575 Mn
0.258 0.504 0.913 Mn
0.259 0.501 0.248 Mn
0.755 0.505 0.084 Mn
0.758 0.495 0.740 Co
0.127 0.718 0.773 O
0.132 0.725 0.121 O
0.157 0.720 0.450 O
0.367 0.274 0.376 O
0.379 0.278 0.048 O
0.390 0.279 0.709 O
0.617 0.728 0.278 O
0.618 0.733 0.959 O
0.622 0.720 0.629 O
0.886 0.285 0.875 O
0.899 0.273 0.198 O
0.908 0.256 0.543 O
```

Main lines, by angle (10° ≤ 2θ ≤ 80°):
- 18.46 deg, I = 100
- 36.50 deg, I = 23
- 43.34 deg, I = 29
- 44.17 deg, I = 27
- 44.30 deg, I = 27
- 63.89 deg, I = 15


- Number 1 is which compound?
  Li4MnCo2O7


- Number 1 is which compound?
  Li4MnCo2O7